1.
The following is a theoretical XRD peak list of RbZn2GaF8. It was derived from a structure optimized by DFT (GGA-PBE), using Cu Kα (weighted mean of Kα1 and Kα2).
Peak positions follow from Bragg's law for the DFT cell and can differ from measured ones.

Main lines, in order of rising 2θ (2θ from 5° to 70°):
Position (°2θ)	Rel. int.	h k l
20.0	31	1 0 1
22.7	100	1 1 0
28.1	93	0 1 2
28.5	60	1 -1 0
34.0	51	0 1 -2
36.4	22	2 0 1
38.7	24	1 2 2
45.4	22	2 1 3
51.6	35	0 0 4
58.9	18	2 -2 0

Structural model:
a = 5.1754 Å, b = 5.1825 Å, c = 7.4503 Å
α = 75.64°, β = 75.84°, γ = 74.50°
Element x y z (fractional)
Rb (0.0000, 0.0000, 0.0000)
Zn (0.4497, 0.4491, 0.2273)
Zn (0.5503, 0.5509, 0.7727)
Ga (0.0000, 0.0000, 0.5000)
F (0.1964, 0.7545, 0.6914)
F (0.2414, 0.7994, 0.3109)
F (0.2424, 0.2362, 0.4494)
F (0.3488, 0.3401, 0.0154)
F (0.6512, 0.6599, 0.9846)
F (0.7576, 0.7638, 0.5506)
F (0.7586, 0.2006, 0.6891)
F (0.8036, 0.2455, 0.3086)

2.
The following is a theoretical XRD peak list of CoMoPt. It was derived from a structure optimized by DFT (GGA-PBE), using Cu Kα (weighted mean of Kα1 and Kα2).
Peak positions follow from Bragg's law for the DFT cell and can differ from measured ones.

Main lines, in order of rising 2θ (2θ from 5° to 70°):
Position (°2θ)	Rel. int.	h k l
21.7	20	0 0 2
26.1	40	0 1 1
34.9	19	1 0 1
40.8	100	0 1 3
41.1	99	1 1 0
46.9	12	1 1 2
47.3	65	1 0 3
48.5	31	0 2 0
61.9	11	1 1 4
69.5	10	2 0 0

Structural model:
a = 2.7048 Å, b = 3.7574 Å, c = 8.2040 Å
α = 90.00°, β = 90.00°, γ = 90.00°
Element x y z (fractional)
Co (0.0000, 0.0000, 0.0000)
Co (0.5000, 0.5000, 0.5000)
Mo (0.0000, 0.0000, 0.6515)
Mo (0.5000, 0.5000, 0.1515)
Pt (0.0000, 0.0000, 0.3292)
Pt (0.5000, 0.5000, 0.8292)

> Number 1 is which compound?

RbZn2GaF8